# NaSc4F12
Theoretical X-ray powder pattern, Cu Ka. Input: a GGA-PBE-relaxed structure.
No peak broadening, texture or thermal motion is included.

Top 10 peaks for 10° ≤ 2θ ≤ 80°, in order of rising 2θ:
d_spacing, 2θ/deg, Rel. int.
4.075, 21.81, 100
4.014, 22.15, 40
2.860, 31.28, 25
2.038, 44.46, 42
2.007, 45.18, 14
1.822, 50.05, 14
1.817, 50.21, 18
1.800, 50.70, 16
1.659, 55.36, 13
1.430, 65.25, 13

Atomic structure:
```
17
Lattice="-4.0140 4.0732 4.0773 4.0140 -4.0732 4.0773 4.0140 4.0732 -4.0773" Properties=species:S:1:pos:R:3 pbc="T T T"
Na 0.0000 0.0000 0.0000
Sc 2.0070 2.0366 -2.0386
Sc 2.0070 -2.0366 2.0386
Sc -2.0070 2.0366 2.0386
Sc 2.0070 2.0366 2.0386
F 4.0140 -1.7430 1.7587
F 1.6272 1.9737 0.0000
F 2.3868 -2.0995 4.0773
F 2.3984 4.0732 -2.0938
F 1.6156 0.0000 1.9834
F 4.0140 1.7430 1.7587
F 0.0000 2.3302 2.3186
F 2.3984 4.0732 2.0938
F 1.6156 0.0000 6.1711
F 1.6272 6.1726 0.0000
F 2.3868 2.0995 4.0773
F 0.0000 5.8161 2.3186
```